1.
The following is a simulated X-ray diffraction stick pattern of InSbPd. It was derived from a GGA-PBE-relaxed structure, using copper Kα.
Peak positions follow from Bragg's law for the DFT cell and can differ from measured ones.

Lattice parameters (Å, degrees): 4.607 4.607 6.590 90.00 90.00 90.00
Space group P4_2/mmc (No. 131)
One atom of each set of equivalent atoms:
In  0.000  0.000  0.250 [2 per cell]
Sb  0.500  0.500  0.250 [2 per cell]
Pd  0.000  0.500  0.000 [2 per cell]

The 12 most intense peaks (2θ from 10° to 90°), low angle first:
- 23.56°, d = 3.776 Å, I = 370, (1 0 1)
- 27.06°, d = 3.295 Å, I = 92, (0 0 2)
- 27.38°, d = 3.257 Å, I = 178, (1 1 0)
- 38.88°, d = 2.317 Å, I = 1000, (1 1 2)
- 39.11°, d = 2.303 Å, I = 492, (2 0 0)
- 46.16°, d = 1.966 Å, I = 119, (2 1 1)
- 48.20°, d = 1.888 Å, I = 74, (2 0 2)
- 55.80°, d = 1.648 Å, I = 85, (0 0 4)
- 56.50°, d = 1.629 Å, I = 164, (2 2 0)
- 70.24°, d = 1.340 Å, I = 168, (2 0 4)
- 70.70°, d = 1.332 Å, I = 330, (3 1 2)
- 83.45°, d = 1.158 Å, I = 106, (2 2 4)

2.
The following is a simulated X-ray diffraction stick pattern of Hf4Fe3Rh. It was derived from a GGA-PBE-relaxed structure, using copper Kα.
Peak positions follow from Bragg's law for the DFT cell and can differ from measured ones.

Lattice parameters (Å, degrees): 3.190 4.492 8.932 90.00 90.00 90.00
Space group Pmmm (No. 47)
One atom of each set of equivalent atoms:
Hf  0.000  0.000  0.000 [1 per cell]
Hf  0.000  0.000  0.500 [1 per cell]
Hf  0.000  0.500  0.241 [2 per cell]
Fe  0.500  0.000  0.250 [2 per cell]
Fe  0.500  0.500  0.000 [1 per cell]
Rh  0.500  0.500  0.500 [1 per cell]

The 12 most intense peaks (2θ from 10° to 90°), low angle first:
- 27.97°, d = 3.190 Å, I = 93, (1 0 0)
- 28.18°, d = 3.167 Å, I = 180, (0 1 2)
- 40.13°, d = 2.247 Å, I = 1000, (0 2 0)
- 40.39°, d = 2.233 Å, I = 193, (0 0 4)
- 49.64°, d = 1.836 Å, I = 41, (1 2 0)
- 57.80°, d = 1.595 Å, I = 68, (2 0 0)
- 58.27°, d = 1.583 Å, I = 131, (0 2 4)
- 65.83°, d = 1.419 Å, I = 54, (0 3 2)
- 72.71°, d = 1.301 Å, I = 68, (2 2 0)
- 72.92°, d = 1.297 Å, I = 201, (1 3 2)
- 73.27°, d = 1.292 Å, I = 128, (1 1 6)
- 86.64°, d = 1.124 Å, I = 108, (0 4 0)

3.
The following is a simulated X-ray diffraction stick pattern of PmZnSnRu. It was derived from a GGA-PBE-relaxed structure, using copper Kα.
Peak positions follow from Bragg's law for the DFT cell and can differ from measured ones.

Lattice parameters (Å, degrees): 6.821 6.821 6.821 90.00 90.00 90.00
Space group F-43m (No. 216)
One atom of each set of equivalent atoms:
Pm  0.000  0.000  0.000 [4 per cell]
Zn  0.250  0.250  0.250 [4 per cell]
Sn  0.000  0.000  0.500 [4 per cell]
Ru  0.250  0.250  0.750 [4 per cell]

The 10 most intense peaks (2θ from 10° to 90°), low angle first:
- 22.58°, d = 3.938 Å, I = 22, (1 1 1)
- 26.13°, d = 3.411 Å, I = 54, (2 0 0)
- 37.28°, d = 2.412 Å, I = 1000, (2 2 0)
- 44.03°, d = 2.057 Å, I = 10, (3 1 1)
- 46.10°, d = 1.969 Å, I = 17, (2 2 2)
- 53.75°, d = 1.705 Å, I = 173, (4 0 0)
- 60.72°, d = 1.525 Å, I = 25, (4 2 0)
- 67.24°, d = 1.392 Å, I = 352, (4 2 2)
- 79.48°, d = 1.206 Å, I = 111, (4 4 0)
- 85.39°, d = 1.137 Å, I = 14, (6 0 0)

4.
The following is a simulated X-ray diffraction stick pattern of CoC2. It was derived from a GGA-PBE-relaxed structure, using copper Kα.
Peak positions follow from Bragg's law for the DFT cell and can differ from measured ones.

Lattice parameters (Å, degrees): 2.4400 2.4400 8.2866 90.00 90.00 120.00
Space group P6/mmm (No. 191)
One atom of each set of equivalent atoms:
Co  0.0000  0.0000  0.0000 [1 per cell]
C  0.3333  0.6667  0.5000 [2 per cell]

The 12 most intense peaks (2θ from 10° to 90°), low angle first:
- 10.68°, d = 8.287 Å, I = 806, (0 0 1)
- 21.45°, d = 4.143 Å, I = 1000, (0 0 2)
- 32.41°, d = 2.762 Å, I = 74, (0 0 3)
- 42.79°, d = 2.113 Å, I = 168, (1 0 0)
- 43.69°, d = 2.072 Å, I = 127, (0 0 4)
- 44.23°, d = 2.048 Å, I = 570, (1 0 1)
- 48.35°, d = 1.882 Å, I = 235, (1 0 2)
- 54.69°, d = 1.678 Å, I = 283, (1 0 3)
- 62.82°, d = 1.479 Å, I = 103, (1 0 4)
- 72.48°, d = 1.304 Å, I = 111, (1 0 5)
- 78.38°, d = 1.220 Å, I = 55, (1 1 0)
- 82.40°, d = 1.170 Å, I = 95, (1 1 2)

5.
The following is a simulated X-ray diffraction stick pattern of SrH3Pd. It was derived from a GGA-PBE-relaxed structure, using copper Kα.
Peak positions follow from Bragg's law for the DFT cell and can differ from measured ones.

Lattice parameters (Å, degrees): 7.461 11.824 5.574 90.00 90.00 90.00
Space group Cmce (No. 64)
One atom of each set of equivalent atoms:
Sr  0.250  0.117  0.250 [8 per cell]
H  0.000  0.016  0.688 [8 per cell]
H  0.000  0.234  0.472 [8 per cell]
H  0.250  0.148  0.750 [8 per cell]
Pd  0.000  0.152  0.770 [8 per cell]

The 12 most intense peaks (2θ from 10° to 90°), low angle first:
- 30.24°, d = 2.956 Å, I = 254, (0 4 0)
- 32.12°, d = 2.787 Å, I = 279, (0 0 2)
- 32.61°, d = 2.746 Å, I = 1000, (2 2 1)
- 34.34°, d = 2.611 Å, I = 87, (0 4 1)
- 44.69°, d = 2.028 Å, I = 167, (0 4 2)
- 48.83°, d = 1.865 Å, I = 89, (4 0 0)
- 55.23°, d = 1.663 Å, I = 121, (2 6 1)
- 57.57°, d = 1.601 Å, I = 181, (2 2 3)
- 58.51°, d = 1.577 Å, I = 76, (4 4 0)
- 59.65°, d = 1.550 Å, I = 91, (4 0 2)
- 68.32°, d = 1.373 Å, I = 98, (4 4 2)
- 80.85°, d = 1.189 Å, I = 72, (6 2 1)

6.
The following is a simulated X-ray diffraction stick pattern of Ba2Tm2CuPtO8. It was derived from a GGA-PBE-relaxed structure, using copper Kα.
Peak positions follow from Bragg's law for the DFT cell and can differ from measured ones.

Lattice parameters (Å, degrees): 13.290 5.690 10.385 90.00 90.00 90.00
Space group Pnma (No. 62)
One atom of each set of equivalent atoms:
Ba  0.076  0.250  0.090 [4 per cell]
Ba  0.207  0.750  0.312 [4 per cell]
Tm  0.083  0.250  0.486 [4 per cell]
Tm  0.142  0.750  0.685 [4 per cell]
Cu  0.040  0.250  0.764 [4 per cell]
Pt  0.195  0.750  0.965 [4 per cell]
O  0.009  0.005  0.633 [8 per cell]
O  0.088  0.750  0.106 [4 per cell]
O  0.115  0.510  0.856 [8 per cell]
O  0.202  0.250  0.312 [4 per cell]
O  0.214  0.009  0.554 [8 per cell]

The 12 most intense peaks (2θ from 10° to 90°), low angle first:
- 19.00°, d = 4.671 Å, I = 222, (1 1 1)
- 26.84°, d = 3.322 Å, I = 281, (2 1 2)
- 30.22°, d = 2.957 Å, I = 263, (0 1 3)
- 30.98°, d = 2.887 Å, I = 940, (1 1 3)
- 31.17°, d = 2.869 Å, I = 1000, (4 1 0)
- 31.45°, d = 2.845 Å, I = 682, (0 2 0)
- 32.37°, d = 2.766 Å, I = 249, (4 1 1)
- 32.83°, d = 2.728 Å, I = 215, (3 0 3)
- 37.52°, d = 2.397 Å, I = 204, (4 0 3)
- 46.10°, d = 1.969 Å, I = 288, (3 2 3)
- 55.69°, d = 1.650 Å, I = 185, (1 3 3)
- 55.82°, d = 1.647 Å, I = 199, (4 3 0)